# 1
This entry pairs a crystal structure of LiFeSi2O6 with its simulated powder diffraction line list. Radiation: copper Kα. Structure: a cell relaxed with GGA+U.
Intensities are scaled so that the largest is 100.

Cell and atoms:
Cell lengths 5.185, 5.185, 10.673 Å; angles 103.26, 103.26, 90.45 degrees
Element x y z (fractional)
Li1 0.103 0.897 0.500
Li2 0.897 0.103 0.000
Fe1 0.011 0.286 0.328
Fe2 0.286 0.011 0.828
Si1 0.241 0.600 0.006
Si2 0.600 0.241 0.506
Si3 0.707 0.826 0.672
Si4 0.826 0.707 0.172
O1 0.019 0.866 0.671
O2 0.204 0.889 0.970
O3 0.239 0.370 0.875
O4 0.370 0.239 0.375
O5 0.513 0.603 0.121
O6 0.524 0.986 0.565
O7 0.603 0.513 0.621
O8 0.643 0.946 0.817
O9 0.866 0.019 0.171
O10 0.889 0.204 0.470
O11 0.946 0.643 0.317
O12 0.986 0.524 0.065

The 10 most intense peaks (10 to 90 degrees two-theta), most intense first:
- 21.51 deg, d = 4.131 Å, intensity 100
- 21.77 deg, d = 4.082 Å, intensity 83
- 34.60 deg, d = 2.592 Å, intensity 42
- 28.19 deg, d = 3.166 Å, intensity 12
- 38.92 deg, d = 2.314 Å, intensity 10
- 17.61 deg, d = 5.037 Å, intensity 10
- 36.64 deg, d = 2.453 Å, intensity 10
- 30.05 deg, d = 2.973 Å, intensity 10
- 27.85 deg, d = 3.204 Å, intensity 9
- 35.99 deg, d = 2.495 Å, intensity 9



# 2
This entry pairs a crystal structure of Li2FeSiO4 with its simulated powder diffraction line list. Radiation: copper Kα. Structure: a cell relaxed with GGA+U.
Intensities are scaled so that the largest is 100.

Cell and atoms:
Cell lengths 6.331, 5.141, 10.967 Å; angles 90.00, 91.89, 90.00 degrees
Element x y z (fractional)
Li1 0.006 0.193 0.167
Li2 0.006 0.307 0.667
Li3 0.220 0.207 0.926
Li4 0.220 0.293 0.426
Li5 0.780 0.707 0.574
Li6 0.780 0.793 0.074
Li7 0.994 0.693 0.333
Li8 0.994 0.807 0.833
Fe1 0.493 0.699 0.343
Fe2 0.493 0.801 0.843
Fe3 0.507 0.199 0.157
Fe4 0.507 0.301 0.657
Si1 0.249 0.696 0.091
Si2 0.249 0.804 0.591
Si3 0.751 0.196 0.409
Si4 0.751 0.304 0.909
O1 0.051 0.693 0.666
O2 0.051 0.807 0.166
O3 0.246 0.126 0.588
O4 0.246 0.374 0.088
O5 0.248 0.688 0.450
O6 0.248 0.812 0.950
O7 0.481 0.717 0.660
O8 0.481 0.783 0.160
O9 0.519 0.217 0.840
O10 0.519 0.283 0.340
O11 0.752 0.188 0.050
O12 0.752 0.312 0.550
O13 0.754 0.626 0.912
O14 0.754 0.874 0.412
O15 0.949 0.193 0.834
O16 0.949 0.307 0.334

The 10 most intense peaks (10 to 90 degrees two-theta), most intense first:
- 14.00 deg, d = 6.328 Å, intensity 100
- 34.91 deg, d = 2.570 Å, intensity 52
- 27.93 deg, d = 3.194 Å, intensity 46
- 21.09 deg, d = 4.212 Å, intensity 41
- 32.68 deg, d = 2.740 Å, intensity 35
- 22.28 deg, d = 3.990 Å, intensity 33
- 33.16 deg, d = 2.702 Å, intensity 32
- 32.20 deg, d = 2.780 Å, intensity 20
- 27.37 deg, d = 3.258 Å, intensity 17
- 58.34 deg, d = 1.582 Å, intensity 17



# 3
This entry pairs a crystal structure of LiFeSiO4 with its simulated powder diffraction line list. Radiation: copper Kα. Structure: a cell relaxed with GGA+U.
Intensities are scaled so that the largest is 100.

Cell and atoms:
Cell lengths 5.186, 5.186, 6.712 Å; angles 90.00, 90.00, 90.46 degrees
Element x y z (fractional)
Li1 0.195 0.805 0.750
Li2 0.805 0.195 0.250
Fe1 0.185 0.815 0.250
Fe2 0.815 0.185 0.750
Si1 0.318 0.318 0.500
Si2 0.682 0.682 0.000
O1 0.176 0.197 0.698
O2 0.197 0.176 0.302
O3 0.262 0.630 0.486
O4 0.370 0.738 0.014
O5 0.630 0.262 0.514
O6 0.738 0.370 0.986
O7 0.803 0.824 0.802
O8 0.824 0.803 0.198

The 10 most intense peaks (10 to 90 degrees two-theta), most intense first:
- 21.66 deg, d = 4.104 Å, intensity 100
- 34.59 deg, d = 2.593 Å, intensity 34
- 31.76 deg, d = 2.818 Å, intensity 30
- 60.22 deg, d = 1.537 Å, intensity 17
- 47.56 deg, d = 1.912 Å, intensity 13
- 27.64 deg, d = 3.228 Å, intensity 10
- 71.12 deg, d = 1.326 Å, intensity 10
- 24.37 deg, d = 3.652 Å, intensity 9
- 41.31 deg, d = 2.186 Å, intensity 9
- 44.10 deg, d = 2.054 Å, intensity 8



# 4
This entry pairs a crystal structure of LiFeSiO4 with its simulated powder diffraction line list. Radiation: copper Kα. Structure: a cell relaxed with GGA+U.
Intensities are scaled so that the largest is 100.

Cell and atoms:
Cell lengths 8.639, 8.639, 8.639 Å; angles 107.80, 107.80, 107.80 degrees
Element x y z (fractional)
Li1 0.016 0.794 0.190
Li2 0.190 0.016 0.794
Li3 0.307 0.476 0.709
Li4 0.476 0.709 0.307
Li5 0.709 0.307 0.476
Li6 0.794 0.190 0.016
Fe1 0.040 0.637 0.817
Fe2 0.117 0.528 0.352
Fe3 0.352 0.117 0.528
Fe4 0.528 0.352 0.117
Fe5 0.637 0.817 0.040
Fe6 0.817 0.040 0.637
Si1 0.150 0.378 0.971
Si2 0.378 0.971 0.150
Si3 0.456 0.863 0.680
Si4 0.680 0.456 0.863
Si5 0.863 0.680 0.456
Si6 0.971 0.150 0.378
O1 0.162 0.491 0.848
O2 0.183 0.217 0.518
O3 0.217 0.518 0.183
O4 0.217 0.883 0.943
O5 0.279 0.961 0.285
O6 0.285 0.279 0.961
O7 0.312 0.647 0.591
O8 0.344 0.987 0.670
O9 0.491 0.848 0.162
O10 0.518 0.183 0.217
O11 0.560 0.570 0.891
O12 0.570 0.891 0.560
O13 0.591 0.312 0.647
O14 0.603 0.934 0.889
O15 0.647 0.591 0.312
O16 0.670 0.344 0.987
O17 0.848 0.162 0.491
O18 0.883 0.943 0.217
O19 0.889 0.603 0.934
O20 0.891 0.560 0.570
O21 0.934 0.889 0.603
O22 0.943 0.217 0.883
O23 0.961 0.285 0.279
O24 0.987 0.670 0.344

The 10 most intense peaks (10 to 90 degrees two-theta), most intense first:
- 21.66 deg, d = 4.104 Å, intensity 100
- 31.50 deg, d = 2.840 Å, intensity 82
- 25.52 deg, d = 3.490 Å, intensity 78
- 33.98 deg, d = 2.638 Å, intensity 73
- 65.57 deg, d = 1.424 Å, intensity 44
- 48.89 deg, d = 1.863 Å, intensity 36
- 20.41 deg, d = 4.352 Å, intensity 33
- 12.68 deg, d = 6.980 Å, intensity 28
- 22.06 deg, d = 4.030 Å, intensity 25
- 38.78 deg, d = 2.322 Å, intensity 25



# 5
This entry pairs a crystal structure of Li2Fe2SiO6 with its simulated powder diffraction line list. Radiation: copper Kα. Structure: a cell relaxed with GGA+U.
Intensities are scaled so that the largest is 100.

Cell and atoms:
Cell lengths 5.538, 5.538, 6.069 Å; angles 90.00, 90.00, 122.15 degrees
Element x y z (fractional)
Li1 0.000 0.000 0.215
Li2 0.000 0.000 0.785
Fe1 0.000 0.500 0.829
Fe2 0.500 0.000 0.171
Si1 0.500 0.500 0.500
O1 0.163 0.837 0.000
O2 0.220 0.403 0.655
O3 0.403 0.220 0.345
O4 0.597 0.780 0.345
O5 0.780 0.597 0.655
O6 0.837 0.163 0.000

The 10 most intense peaks (10 to 90 degrees two-theta), most intense first:
- 23.98 deg, d = 3.710 Å, intensity 100
- 23.49 deg, d = 3.787 Å, intensity 33
- 44.30 deg, d = 2.045 Å, intensity 23
- 60.44 deg, d = 1.532 Å, intensity 10
- 38.40 deg, d = 2.344 Å, intensity 10
- 18.30 deg, d = 4.847 Å, intensity 9
- 35.23 deg, d = 2.548 Å, intensity 8
- 52.40 deg, d = 1.746 Å, intensity 7
- 59.52 deg, d = 1.553 Å, intensity 7
- 45.15 deg, d = 2.008 Å, intensity 7



# 6
This entry pairs a crystal structure of Li7Fe7SiO16 with its simulated powder diffraction line list. Radiation: copper Kα. Structure: a cell relaxed with GGA+U.
Intensities are scaled so that the largest is 100.

Cell and atoms:
Cell lengths 5.255, 5.255, 11.417 Å; angles 90.00, 90.00, 113.68 degrees
Element x y z (fractional)
Li1 0.000 0.000 0.000
Li2 0.000 0.500 0.127
Li3 0.000 0.500 0.622
Li4 0.500 0.000 0.378
Li5 0.500 0.000 0.873
Li6 0.500 0.500 0.251
Li7 0.500 0.500 0.749
Fe1 0.000 0.000 0.262
Fe2 0.000 0.000 0.738
Fe3 0.000 0.500 0.379
Fe4 0.000 0.500 0.873
Fe5 0.500 0.000 0.127
Fe6 0.500 0.000 0.621
Fe7 0.500 0.500 0.000
Si1 0.500 0.500 0.500
O1 0.227 0.772 0.255
O2 0.228 0.773 0.745
O3 0.231 0.269 0.872
O4 0.255 0.288 0.383
O5 0.268 0.732 0.000
O6 0.269 0.231 0.128
O7 0.288 0.255 0.617
O8 0.298 0.702 0.500
O9 0.702 0.298 0.500
O10 0.712 0.745 0.617
O11 0.731 0.769 0.128
O12 0.732 0.268 0.000
O13 0.745 0.712 0.383
O14 0.769 0.731 0.872
O15 0.772 0.227 0.745
O16 0.773 0.228 0.255

The 10 most intense peaks (10 to 90 degrees two-theta), most intense first:
- 24.19 deg, d = 3.679 Å, intensity 100
- 44.75 deg, d = 2.025 Å, intensity 46
- 41.04 deg, d = 2.200 Å, intensity 28
- 62.32 deg, d = 1.490 Å, intensity 26
- 37.88 deg, d = 2.375 Å, intensity 14
- 57.07 deg, d = 1.614 Å, intensity 12
- 51.36 deg, d = 1.779 Å, intensity 11
- 51.66 deg, d = 1.769 Å, intensity 10
- 37.37 deg, d = 2.406 Å, intensity 8
- 37.56 deg, d = 2.394 Å, intensity 8